(1)
Theoretical PXRD pattern
Compound: La2Zn5Au
Radiation: CuKα
Structure: DFT lattice parameters and positions (PBE)
Peak positions follow from Bragg's law for the DFT cell and can differ from measured ones.

Principal peaks in the range 10 to 90 degrees two-theta, in order of rising 2θ:
- 2θ = 28.51°, I = 54, (1 1 2)
- 2θ = 32.36°, I = 100, (1 3 2)
- 2θ = 33.55°, I = 76, (1 5 0)
- 2θ = 37.79°, I = 27, (0 6 2)
- 2θ = 39.37°, I = 38, (0 0 4)
- 2θ = 40.61°, I = 49, (2 0 0)

Crystal structure
```
data_La2Zn5Au
_chemical_formula_sum 'La8 Zn20 Au4'
_space_group_name_H-M_alt 'C m c m'
_space_group_IT_number 63
_space_group_name_Hall '-C 2c 2'
_cell_length_a 4.443
_cell_length_b 16.725
_cell_length_c 9.147
_cell_angle_alpha 90.00
_cell_angle_beta 90.00
_cell_angle_gamma 90.00
loop_
_atom_site_label
_atom_site_type_symbol
_atom_site_fract_x
_atom_site_fract_y
_atom_site_fract_z
La1 La 0.000 0.000 0.000
La2 La 0.000 0.201 0.250
Zn1 Zn 0.000 0.185 0.610
Zn2 Zn 0.000 0.345 0.518
Zn3 Zn 0.000 0.398 0.250
Au1 Au 0.000 0.445 0.750
```

(2)
Theoretical PXRD pattern
Compound: LaZn4Au
Radiation: CuKα
Structure: DFT lattice parameters and positions (PBE)
Peak positions follow from Bragg's law for the DFT cell and can differ from measured ones.

Principal peaks in the range 10 to 90 degrees two-theta, in order of rising 2θ:
- 2θ = 11.16°, I = 63, (0 2 0)
- 2θ = 29.36°, I = 55, (1 3 1)
- 2θ = 33.91°, I = 90, (1 1 2)
- 2θ = 36.55°, I = 40, (0 6 1)
- 2θ = 37.26°, I = 100, (1 5 1)
- 2θ = 40.31°, I = 56, (2 0 0)

Crystal structure
```
data_LaZn4Au
_chemical_formula_sum 'La4 Zn16 Au4'
_space_group_name_H-M_alt 'C m c m'
_space_group_IT_number 63
_space_group_name_Hall '-C 2c 2'
_cell_length_a 4.474
_cell_length_b 15.856
_cell_length_c 6.699
_cell_angle_alpha 90.00
_cell_angle_beta 90.00
_cell_angle_gamma 90.00
loop_
_atom_site_label
_atom_site_type_symbol
_atom_site_fract_x
_atom_site_fract_y
_atom_site_fract_z
La1 La 0.000 0.129 0.250
Zn1 Zn 0.000 0.064 0.750
Zn2 Zn 0.000 0.334 0.061
Zn3 Zn 0.000 0.500 0.000
Au1 Au 0.000 0.228 0.750
```

(3)
Theoretical PXRD pattern
Compound: LaZn3Au10
Radiation: CuKα
Structure: DFT lattice parameters and positions (PBE)
Peak positions follow from Bragg's law for the DFT cell and can differ from measured ones.

Principal peaks in the range 10 to 90 degrees two-theta, in order of rising 2θ:
- 2θ = 30.60°, I = 28, (4 2 0)
- 2θ = 35.71°, I = 100, (3 3 3)
- 2θ = 39.00°, I = 26, (4 4 0)
- 2θ = 40.86°, I = 52, (5 3 1)
- 2θ = 46.09°, I = 19, (6 2 2)
- 2θ = 60.09°, I = 25, (6 6 0)

Crystal structure
```
data_LaZn3Au10
_chemical_formula_sum 'La8 Zn24 Au80'
_space_group_name_H-M_alt 'F m -3 m'
_space_group_IT_number 225
_space_group_name_Hall '-F 4 2 3'
_cell_length_a 13.065
_cell_length_b 13.065
_cell_length_c 13.065
_cell_angle_alpha 90.00
_cell_angle_beta 90.00
_cell_angle_gamma 90.00
loop_
_atom_site_label
_atom_site_type_symbol
_atom_site_fract_x
_atom_site_fract_y
_atom_site_fract_z
La1 La 0.250 0.250 0.250
Zn1 Zn 0.000 0.000 0.236
Au1 Au 0.000 0.174 0.326
Au2 Au 0.114 0.114 0.114
```

(4)
Theoretical PXRD pattern
Compound: LaZn2Au8
Radiation: CuKα
Structure: DFT lattice parameters and positions (PBE)
Peak positions follow from Bragg's law for the DFT cell and can differ from measured ones.

Principal peaks in the range 10 to 90 degrees two-theta, in order of rising 2θ:
- 2θ = 21.09°, I = 52, (0 0 2)
- 2θ = 32.17°, I = 46, (2 0 0)
- 2θ = 38.79°, I = 100, (2 0 2)
- 2θ = 46.14°, I = 36, (2 2 0)
- 2θ = 51.25°, I = 21, (2 2 2)
- 2θ = 80.49°, I = 25, (4 2 2)

Crystal structure
```
data_LaZn2Au8
_chemical_formula_sum 'La1 Zn2 Au8'
_space_group_name_H-M_alt 'P 4/m m m'
_space_group_IT_number 123
_space_group_name_Hall '-P 4 2'
_cell_length_a 5.564
_cell_length_b 5.564
_cell_length_c 8.425
_cell_angle_alpha 90.00
_cell_angle_beta 90.00
_cell_angle_gamma 90.00
loop_
_atom_site_label
_atom_site_type_symbol
_atom_site_fract_x
_atom_site_fract_y
_atom_site_fract_z
La1 La 0.000 0.000 0.000
Zn1 Zn 0.000 0.500 0.500
Au1 Au 0.254 0.254 0.282
```